This entry pairs a crystal structure of CeTh2TcN5 with its theoretical X-ray powder pattern. Radiation: Cu Ka. Structure: a DFT-relaxed cell (PBE, Alexandria).

Cell lengths 6.8054, 6.8054, 5.8755 Å; angles 90.00, 90.00, 90.00 degrees
Fractional positions:
Ce  0.0000  0.0000  0.0000
Ce  0.5000  0.5000  0.0000
Th  0.1711  0.3289  0.5000
Th  0.3289  0.8289  0.5000
Th  0.6711  0.1711  0.5000
Th  0.8289  0.6711  0.5000
Tc  0.0000  0.5000  0.0000
Tc  0.5000  0.0000  0.0000
N  0.0000  0.0000  0.5000
N  0.1454  0.6454  0.2336
N  0.1454  0.6454  0.7664
N  0.3546  0.1454  0.2336
N  0.3546  0.1454  0.7664
N  0.5000  0.5000  0.5000
N  0.6454  0.8546  0.2336
N  0.6454  0.8546  0.7664
N  0.8546  0.3546  0.2336
N  0.8546  0.3546  0.7664

The 10 most intense peaks (5° ≤ 2θ ≤ 70°), low angle first:
| 2θ (°) | I_rel |
| --- | --- |
| 15.08 | 17 |
| 29.35 | 27 |
| 30.38 | 100 |
| 33.15 | 54 |
| 37.38 | 14 |
| 42.78 | 33 |
| 48.93 | 12 |
| 54.02 | 14 |
| 55.82 | 12 |
| 58.04 | 13 |